Diffraction record for CdIn2Se2S2. The powder diffraction line list is simulated, not measured: it uses a DFT-relaxed cell (GGA-PBE, Alexandria) and Cu Kα.

```
14
Lattice="0.000 5.647 5.647 5.647 0.000 5.647 5.647 5.647 0.000" Properties=species:S:1:pos:R:3 pbc="T T T"
Cd 0.000 0.000 0.000
Cd 2.823 2.823 2.823
In 7.097 4.197 4.197
In 4.197 7.097 4.197
In 4.197 4.197 7.097
In 7.097 7.097 7.097
Se 4.340 4.340 4.340
Se 6.954 6.954 4.340
Se 6.954 4.340 6.954
Se 4.340 6.954 6.954
S 9.766 7.174 7.174
S 7.174 9.766 7.174
S 7.174 7.174 9.766
S 9.766 9.766 9.766
```

Most intense lines, 10° ≤ 2θ ≤ 90°, in order of rising 2θ:
2θ (°), d/Å, Rel. int.
13.58, 6.520, 18
22.26, 3.993, 27
26.17, 3.405, 100
31.69, 2.823, 45
41.55, 2.173, 51
45.43, 1.996, 89
53.18, 1.722, 14
63.25, 1.470, 22
66.20, 1.412, 13
72.48, 1.304, 14
83.95, 1.153, 26
89.84, 1.092, 15

Diffraction record for Na2CO3. The powder diffraction line list is simulated, not measured: it uses a DFT-relaxed cell (GGA-PBE, Alexandria) and Cu Kα.

```
12
Lattice="5.279 0.000 0.000 -2.639 4.571 0.000 0.000 0.000 6.330" Properties=species:S:1:pos:R:3 pbc="T T T"
Na 0.000 0.000 0.000
Na 0.000 0.000 3.165
Na 0.000 3.048 1.582
Na 2.639 1.524 4.747
C 0.000 3.048 4.747
C 2.639 1.524 1.582
O 0.000 1.748 4.747
O -1.126 3.698 4.747
O 1.513 0.874 1.582
O 1.126 3.698 4.747
O 3.765 0.874 1.582
O 2.639 2.824 1.582
```

Most intense lines, 10° ≤ 2θ ≤ 90°, in order of rising 2θ:
2θ (°), d/Å, Rel. int.
24.01, 3.706, 16
28.20, 3.165, 65
33.97, 2.639, 63
34.47, 2.602, 100
42.03, 2.150, 78
49.17, 1.853, 74
53.00, 1.728, 12
58.31, 1.582, 18
59.64, 1.550, 22
69.22, 1.357, 13
71.49, 1.320, 20
81.84, 1.177, 13

Diffraction record for YHf4Ru5. The powder diffraction line list is simulated, not measured: it uses a DFT-relaxed cell (GGA-PBE, Alexandria) and Cu Kα.

```
10
Lattice="3.264 0.000 0.000 0.000 3.264 0.000 0.000 0.000 16.527" Properties=species:S:1:pos:R:3 pbc="T T T"
Y 0.000 0.000 0.000
Hf 0.000 0.000 3.369
Hf 0.000 0.000 6.634
Hf 0.000 0.000 9.892
Hf 0.000 0.000 13.158
Ru 1.632 1.632 1.886
Ru 1.632 1.632 5.061
Ru 1.632 1.632 8.263
Ru 1.632 1.632 11.466
Ru 1.632 1.632 14.640
```

Most intense lines, 10° ≤ 2θ ≤ 90°, in order of rising 2θ:
2θ (°), d/Å, Rel. int.
10.71, 8.263, 4
26.98, 3.305, 3
27.32, 3.264, 6
38.77, 2.322, 100
39.03, 2.308, 51
42.97, 2.105, 3
55.61, 1.653, 8
56.38, 1.632, 17
70.02, 1.344, 15
70.53, 1.335, 34
83.19, 1.161, 10
83.83, 1.154, 6

Diffraction record for Ge2PbO4. The powder diffraction line list is simulated, not measured: it uses a DFT-relaxed cell (GGA-PBE, Alexandria) and Cu Kα.

```
7
Lattice="-3.916 3.916 2.720 3.916 -3.916 2.720 3.916 3.916 -2.720" Properties=species:S:1:pos:R:3 pbc="T T T"
Ge 3.916 0.000 1.360
Ge 0.000 3.916 1.360
Pb 0.000 0.000 0.000
O 2.628 0.021 0.000
O 3.895 -1.288 2.720
O 0.021 5.204 0.000
O 1.288 3.895 2.720
```

Most intense lines, 10° ≤ 2θ ≤ 90°, in order of rising 2θ:
2θ (°), d/Å, Rel. int.
19.87, 4.468, 95
22.71, 3.916, 100
30.35, 2.945, 40
32.33, 2.769, 31
36.82, 2.441, 43
38.24, 2.354, 27
44.93, 2.017, 24
46.37, 1.958, 15
49.80, 1.831, 48
52.23, 1.751, 16
60.63, 1.527, 16
70.40, 1.337, 14

Diffraction record for Pm3Bi2H2. The powder diffraction line list is simulated, not measured: it uses a DFT-relaxed cell (GGA-PBE, Alexandria) and Cu Kα.

```
14
Lattice="6.650 0.000 0.000 0.000 6.288 0.000 -2.993 0.000 7.818" Properties=species:S:1:pos:R:3 pbc="T T T"
Pm 0.000 0.000 0.000
Pm -1.497 3.144 3.909
Pm 0.097 0.815 6.170
Pm 1.594 2.329 2.261
Pm 2.063 3.959 5.558
Pm 3.560 5.473 1.649
Bi -1.238 3.761 7.016
Bi 0.258 5.671 3.107
Bi 3.399 0.617 4.711
Bi 4.895 2.527 0.802
H 2.155 0.686 0.540
H 0.659 2.458 4.449
H 2.998 3.830 3.370
H 1.501 5.602 7.279
```

Most intense lines, 10° ≤ 2θ ≤ 90°, in order of rising 2θ:
2θ (°), d/Å, Rel. int.
26.32, 3.386, 33
30.43, 2.937, 100
30.65, 2.917, 59
31.09, 2.877, 74
32.14, 2.785, 28
32.98, 2.716, 25
35.25, 2.546, 72
35.71, 2.514, 38
45.72, 1.985, 16
51.60, 1.771, 53
55.31, 1.661, 12
61.07, 1.517, 14

Diffraction record for Ac5AlTe4. The powder diffraction line list is simulated, not measured: it uses a DFT-relaxed cell (GGA-PBE, Alexandria) and Cu Kα.

```
10
Lattice="6.694 0.000 0.000 3.331 7.522 0.000 3.335 0.005 7.527" Properties=species:S:1:pos:R:3 pbc="T T T"
Ac 0.000 0.000 0.000
Ac 3.340 2.898 1.436
Ac 6.677 6.087 2.898
Ac 6.683 1.439 4.628
Ac 10.019 4.628 6.091
Al 3.347 0.000 0.000
Te 3.334 1.564 4.523
Te 6.672 4.525 5.964
Te 6.687 3.001 1.563
Te 10.025 5.962 3.003
```

Most intense lines, 10° ≤ 2θ ≤ 90°, in order of rising 2θ:
2θ (°), d/Å, Rel. int.
22.93, 3.878, 36
26.49, 3.365, 100
26.63, 3.347, 49
37.83, 2.378, 58
37.93, 2.372, 59
44.68, 2.028, 12
46.80, 1.941, 21
46.89, 1.938, 21
54.54, 1.682, 13
61.64, 1.505, 27
61.90, 1.499, 14
68.36, 1.372, 16

Diffraction record for Hf3ZnGa6. The powder diffraction line list is simulated, not measured: it uses a DFT-relaxed cell (GGA-PBE, Alexandria) and Cu Kα.

```
20
Lattice="5.337 3.081 3.586 -5.337 3.081 3.586 0.000 -6.163 3.586" Properties=species:S:1:pos:R:3 pbc="T T T"
Hf -3.004 0.959 4.483
Hf -2.333 -2.122 6.276
Hf 0.672 -3.081 4.483
Hf -0.672 3.081 6.276
Hf 2.333 2.122 4.483
Hf 3.004 -0.959 6.276
Zn 0.000 0.000 0.000
Zn 0.000 0.000 5.379
Ga -0.385 -1.913 1.658
Ga -1.464 1.290 1.658
Ga -1.464 -1.290 3.721
Ga 1.849 0.623 1.658
Ga -0.385 1.913 3.721
Ga 1.849 -0.623 3.721
Ga -1.849 0.623 7.037
Ga 0.385 -1.913 7.037
Ga -1.849 -0.623 9.100
Ga 1.464 1.290 7.037
Ga 1.464 -1.290 9.100
Ga 0.385 1.913 9.100
```

Most intense lines, 10° ≤ 2θ ≤ 90°, in order of rising 2θ:
2θ (°), d/Å, Rel. int.
16.61, 5.337, 11
30.02, 2.977, 29
34.74, 2.582, 15
36.01, 2.494, 100
38.74, 2.325, 56
38.91, 2.314, 76
49.77, 1.832, 18
52.01, 1.758, 24
57.86, 1.594, 17
58.15, 1.586, 13
62.77, 1.480, 15
71.82, 1.314, 11

Diffraction record for Ba7Cd2Au2. The powder diffraction line list is simulated, not measured: it uses a DFT-relaxed cell (GGA-PBE, Alexandria) and Cu Kα.

```
11
Lattice="4.655 -6.450 0.000 4.655 6.450 0.000 0.000 0.000 8.337" Properties=species:S:1:pos:R:3 pbc="T T T"
Ba 0.000 0.000 0.000
Ba 2.328 3.225 2.196
Ba 2.328 3.225 6.140
Ba 2.328 -3.225 2.196
Ba 2.328 -3.225 6.140
Ba 4.655 0.000 2.095
Ba 4.655 0.000 6.242
Cd 1.507 0.000 4.168
Cd 7.804 0.000 4.168
Au 4.655 2.699 0.000
Au 4.655 -2.699 0.000
```

Most intense lines, 10° ≤ 2θ ≤ 90°, in order of rising 2θ:
2θ (°), d/Å, Rel. int.
17.38, 5.101, 29
21.87, 4.064, 48
23.57, 3.775, 21
24.39, 3.649, 29
27.66, 3.225, 56
28.75, 3.105, 25
31.40, 2.849, 54
31.99, 2.798, 100
37.33, 2.409, 22
40.28, 2.239, 19
43.42, 2.084, 21
52.26, 1.750, 18

Diffraction record for TlHg5Au3. The powder diffraction line list is simulated, not measured: it uses a DFT-relaxed cell (GGA-PBE, Alexandria) and Cu Kα.

```
18
Lattice="5.010 -5.162 0.000 5.010 5.162 0.000 -3.769 0.000 9.737" Properties=species:S:1:pos:R:3 pbc="T T T"
Tl 1.456 0.000 2.453
Tl 4.796 0.000 7.283
Hg -1.092 0.000 8.797
Hg 0.371 0.000 5.777
Hg 5.010 2.436 0.000
Hg 3.771 2.403 3.185
Hg 2.481 2.403 6.551
Hg 3.771 -2.403 3.185
Hg 2.481 -2.403 6.551
Hg 5.010 -2.436 0.000
Hg 5.881 0.000 3.960
Hg 7.344 0.000 0.940
Au 0.000 0.000 0.000
Au -1.324 0.000 3.470
Au 4.411 0.000 1.453
Au 3.126 0.000 4.868
Au 1.841 0.000 8.284
Au 7.576 0.000 6.267
```

Most intense lines, 10° ≤ 2θ ≤ 90°, in order of rising 2θ:
2θ (°), d/Å, Rel. int.
17.18, 5.162, 66
18.99, 4.673, 52
25.72, 3.464, 48
32.36, 2.766, 32
33.03, 2.712, 92
33.48, 2.677, 85
34.76, 2.581, 100
38.53, 2.336, 77
41.48, 2.177, 74
41.85, 2.158, 69
52.86, 1.732, 68
64.60, 1.443, 29

Diffraction record for V3Mo6W2. The powder diffraction line list is simulated, not measured: it uses a DFT-relaxed cell (GGA-PBE, Alexandria) and Cu Kα.

```
11
Lattice="14.274 -2.202 0.000 14.274 2.202 0.000 -0.232 0.000 2.688" Properties=species:S:1:pos:R:3 pbc="T T T"
V 0.000 0.000 0.000
V 5.119 0.000 1.189
V 23.196 0.000 1.499
Mo 2.684 0.000 0.017
Mo 7.564 0.000 2.305
Mo 10.228 0.000 0.709
Mo 18.087 0.000 1.979
Mo 20.751 0.000 0.382
Mo 25.631 0.000 2.671
W 12.814 0.000 1.791
W 15.502 0.000 0.897
```

Most intense lines, 10° ≤ 2θ ≤ 90°, in order of rising 2θ:
2θ (°), d/Å, Rel. int.
20.40, 4.353, 28
39.67, 2.272, 19
39.96, 2.256, 34
40.45, 2.230, 100
40.98, 2.202, 49
41.33, 2.184, 66
58.57, 1.576, 21
59.86, 1.545, 11
74.29, 1.277, 16
74.89, 1.268, 11
75.10, 1.265, 12
87.49, 1.115, 10

Diffraction record for Rb2H8O5. The powder diffraction line list is simulated, not measured: it uses a DFT-relaxed cell (GGA-PBE, Alexandria) and Cu Kα.

```
60
Lattice="7.434 -3.817 0.000 7.434 3.817 0.000 -5.655 0.000 12.447" Properties=species:S:1:pos:R:3 pbc="T T T"
Rb 1.253 1.997 8.872
Rb 4.709 1.783 1.726
Rb 4.606 2.361 6.224
Rb 5.745 1.503 9.937
Rb 1.882 -1.783 7.949
Rb 4.080 -1.997 2.649
Rb 7.434 -2.361 0.000
Rb 8.573 -1.503 3.713
H -0.792 0.138 3.796
H 0.498 2.381 11.620
H -3.619 -0.138 10.020
H -1.227 0.631 8.238
H 7.083 3.195 2.467
H 2.346 0.093 0.838
H 1.193 0.565 5.886
H -0.481 -0.093 7.062
H 3.620 2.742 11.824
H 1.601 -0.631 2.015
H -1.634 -0.565 12.109
H 7.271 1.202 0.449
H 2.780 0.077 6.012
H -0.047 -0.077 12.235
H 7.538 1.960 5.145
H 7.993 1.511 2.956
H 2.062 0.277 11.006
H 6.285 0.494 4.435
H 4.889 -0.277 4.782
H 9.115 0.575 1.422
H 3.457 -0.494 10.659
H 7.135 0.420 6.607
H 4.444 -1.202 6.673
H 9.313 0.770 5.125
H 3.325 -2.381 5.396
H 6.288 -0.575 7.646
H 9.963 -0.420 0.383
H 5.165 -1.511 9.180
H 6.485 -0.770 11.349
H 4.711 -1.960 11.369
H 6.447 -2.742 5.601
H 4.255 -3.195 8.691
O -0.968 0.114 2.789
O -3.795 -0.114 9.013
O -0.437 0.295 5.390
O -3.265 -0.295 11.614
O 2.195 0.186 1.831
O 2.111 0.833 6.202
O -0.633 -0.186 8.054
O 1.122 1.001 12.064
O 8.088 1.878 2.051
O -0.716 -0.833 12.425
O 5.398 0.202 4.031
O 2.571 -0.202 10.254
O 7.672 0.992 5.140
O 3.950 -1.001 5.841
O 6.911 0.211 7.578
O 9.738 -0.211 1.355
O 10.306 0.557 5.105
O 4.844 -0.992 11.364
O 5.261 -1.878 8.275
O 7.479 -0.557 11.328
```

Most intense lines, 10° ≤ 2θ ≤ 90°, in order of rising 2θ:
2θ (°), d/Å, Rel. int.
21.41, 4.151, 49
22.85, 3.892, 79
23.07, 3.855, 53
23.31, 3.817, 41
24.19, 3.679, 42
25.22, 3.531, 45
26.11, 3.413, 35
26.35, 3.382, 47
33.01, 2.713, 100
33.84, 2.649, 91
35.85, 2.505, 53
40.69, 2.217, 31

Diffraction record for ThNp5P6. The powder diffraction line list is simulated, not measured: it uses a DFT-relaxed cell (GGA-PBE, Alexandria) and Cu Kα.

```
12
Lattice="3.457 -5.997 0.000 3.457 5.997 0.000 -2.324 0.000 6.514" Properties=species:S:1:pos:R:3 pbc="T T T"
Th 0.000 0.000 0.000
Np 2.295 4.034 3.257
Np 3.457 1.997 0.000
Np 2.295 0.000 3.257
Np 3.457 -1.997 0.000
Np 2.295 -4.034 3.257
P 1.174 2.059 1.664
P 0.040 0.000 4.867
P 1.174 -2.059 1.664
P 3.416 2.059 4.850
P 4.550 0.000 1.647
P 3.416 -2.059 4.850
```

Most intense lines, 10° ≤ 2θ ≤ 90°, in order of rising 2θ:
2θ (°), d/Å, Rel. int.
27.35, 3.260, 100
31.69, 2.824, 90
45.41, 1.997, 56
45.53, 1.992, 11
53.81, 1.704, 33
53.92, 1.701, 17
56.38, 1.632, 12
56.52, 1.628, 12
72.96, 1.297, 10
75.21, 1.263, 21
83.85, 1.154, 12
84.09, 1.151, 8